This entry pairs a crystal structure of Tb3Nd4Dy5 with its calculated PXRD pattern. Radiation: copper Kα. Structure: a DFT-relaxed cell (GGA-PBE, Alexandria).

Top 12 peaks for 2θ = 10–90°, by angle:
| 2θ (°) | I (rel.) |
| --- | --- |
| 24.3 | 214 |
| 28.6 | 271 |
| 29.0 | 239 |
| 29.3 | 311 |
| 30.0 | 1000 |
| 31.0 | 414 |
| 31.7 | 521 |
| 32.4 | 748 |
| 32.6 | 291 |
| 33.3 | 647 |
| 42.0 | 206 |
| 43.7 | 324 |

Atomic structure:
a b c (Å): 8.6078 8.6078 9.3866
angles (deg): 114.73 114.73 40.44
Fractional positions:
Tb: 0.0000 0.0000 0.0000
Tb: 0.2894 0.2894 0.7663
Tb: 0.7106 0.7106 0.2337
Nd: 0.2852 0.2852 0.1186
Nd: 0.4163 0.4163 0.5553
Nd: 0.5837 0.5837 0.4447
Nd: 0.7148 0.7148 0.8814
Dy: 0.0716 0.0716 0.7003
Dy: 0.1716 0.1716 0.3862
Dy: 0.5000 0.5000 0.0000
Dy: 0.8284 0.8284 0.6138
Dy: 0.9284 0.9284 0.2997

=====

This entry pairs a crystal structure of Tb5Nd2Dy with its calculated PXRD pattern. Radiation: copper Kα. Structure: a DFT-relaxed cell (GGA-PBE, Alexandria).

Top 12 peaks for 2θ = 10–90°, by angle:
| 2θ (°) | I (rel.) |
| --- | --- |
| 26.3 | 127 |
| 29.6 | 94 |
| 30.0 | 124 |
| 30.2 | 241 |
| 31.7 | 1000 |
| 32.2 | 202 |
| 32.3 | 489 |
| 32.6 | 98 |
| 33.1 | 212 |
| 33.4 | 279 |
| 34.3 | 147 |
| 57.2 | 111 |

Atomic structure:
a b c (Å): 6.1306 9.0547 10.4130
angles (deg): 107.01 99.69 98.80
Fractional positions:
Tb: 0.0351 0.0355 0.1744
Tb: 0.0931 0.6627 0.9506
Tb: 0.1993 0.3710 0.4734
Tb: 0.3429 0.3039 0.8569
Tb: 0.4545 0.9244 0.6395
Tb: 0.5455 0.0756 0.3605
Tb: 0.6571 0.6961 0.1431
Tb: 0.8007 0.6290 0.5266
Tb: 0.9069 0.3373 0.0494
Tb: 0.9649 0.9645 0.8256
Nd: 0.2053 0.6837 0.3082
Nd: 0.4855 0.3577 0.2163
Nd: 0.5145 0.6423 0.7837
Nd: 0.7947 0.3163 0.6918
Dy: 0.0000 0.0000 0.5000
Dy: 0.5000 0.0000 0.0000

=====

This entry pairs a crystal structure of Tb4NdDy4 with its calculated PXRD pattern. Radiation: copper Kα. Structure: a DFT-relaxed cell (GGA-PBE, Alexandria).

Top 12 peaks for 2θ = 10–90°, by angle:
| 2θ (°) | I (rel.) |
| --- | --- |
| 30.0 | 785 |
| 31.4 | 984 |
| 31.7 | 1000 |
| 31.7 | 961 |
| 32.2 | 938 |
| 32.5 | 944 |
| 42.9 | 257 |
| 45.4 | 253 |
| 47.5 | 387 |
| 51.5 | 270 |
| 61.7 | 464 |
| 62.1 | 288 |

Atomic structure:
a b c (Å): 6.7937 8.6681 10.6459
angles (deg): 78.21 74.89 76.50
Fractional positions:
Tb: 0.0852 0.1638 0.4604
Tb: 0.3848 0.8344 0.6293
Tb: 0.3879 0.8378 0.9622
Tb: 0.3905 0.8365 0.2963
Tb: 0.6095 0.1635 0.7037
Tb: 0.6121 0.1622 0.0378
Tb: 0.6152 0.1656 0.3707
Tb: 0.9148 0.8362 0.5396
Nd: 0.2416 0.4729 0.2146
Nd: 0.7584 0.5271 0.7854
Dy: 0.0819 0.1671 0.7921
Dy: 0.0840 0.1635 0.1243
Dy: 0.2445 0.4791 0.5460
Dy: 0.2446 0.4784 0.8796
Dy: 0.7554 0.5216 0.1204
Dy: 0.7555 0.5209 0.4540
Dy: 0.9160 0.8365 0.8757
Dy: 0.9181 0.8329 0.2079

=====

This entry pairs a crystal structure of Tb4NdDy4 with its calculated PXRD pattern. Radiation: copper Kα. Structure: a DFT-relaxed cell (GGA-PBE, Alexandria).

Top 10 peaks for 2θ = 10–90°, by angle:
| 2θ (°) | I (rel.) |
| --- | --- |
| 30.7 | 1000 |
| 35.6 | 506 |
| 51.3 | 361 |
| 60.9 | 429 |
| 64.0 | 123 |
| 75.4 | 38 |
| 75.5 | 19 |
| 83.6 | 178 |
| 86.2 | 111 |
| 86.4 | 55 |

Atomic structure:
a b c (Å): 7.9745 7.9745 7.9745
angles (deg): 95.72 95.72 143.19
Fractional positions:
Tb: 0.1675 0.1675 0.3350
Tb: 0.1675 0.8325 0.0000
Tb: 0.8325 0.1675 0.0000
Tb: 0.8325 0.8325 0.6650
Nd: 0.5000 0.5000 0.0000
Dy: 0.1655 0.5000 0.6655
Dy: 0.5000 0.1655 0.6655
Dy: 0.5000 0.8345 0.3345
Dy: 0.8345 0.5000 0.3345

=====

This entry pairs a crystal structure of TbNd7Dy3 with its calculated PXRD pattern. Radiation: copper Kα. Structure: a DFT-relaxed cell (GGA-PBE, Alexandria).

Top 12 peaks for 2θ = 10–90°, by angle:
| 2θ (°) | I (rel.) |
| --- | --- |
| 28.7 | 206 |
| 31.0 | 516 |
| 31.6 | 1000 |
| 33.2 | 298 |
| 33.4 | 553 |
| 37.5 | 139 |
| 50.2 | 261 |
| 50.5 | 125 |
| 54.4 | 141 |
| 60.1 | 150 |
| 60.3 | 150 |
| 60.4 | 195 |

Atomic structure:
a b c (Å): 7.2282 10.2972 12.5674
angles (deg): 66.03 73.39 69.51
Fractional positions:
Tb: 0.0000 0.0000 0.0000
Tb: 0.0000 0.5000 0.5000
Nd: 0.0798 0.3065 0.0277
Nd: 0.0801 0.8066 0.5293
Nd: 0.2226 0.7501 0.2501
Nd: 0.3347 0.5444 0.7742
Nd: 0.3446 0.0452 0.2743
Nd: 0.4145 0.1935 0.4726
Nd: 0.4163 0.6933 0.9708
Nd: 0.5837 0.3067 0.0292
Nd: 0.5855 0.8065 0.5274
Nd: 0.6554 0.9548 0.7257
Nd: 0.6653 0.4556 0.2258
Nd: 0.7774 0.2499 0.7499
Nd: 0.9199 0.1934 0.4707
Nd: 0.9202 0.6935 0.9723
Dy: 0.1680 0.9361 0.7251
Dy: 0.1725 0.4360 0.2251
Dy: 0.5000 0.0000 0.0000
Dy: 0.5000 0.5000 0.5000
Dy: 0.8275 0.5640 0.7749
Dy: 0.8320 0.0639 0.2749

=====

This entry pairs a crystal structure of Tb8NdDy5 with its calculated PXRD pattern. Radiation: copper Kα. Structure: a DFT-relaxed cell (GGA-PBE, Alexandria).

Top 12 peaks for 2θ = 10–90°, by angle:
| 2θ (°) | I (rel.) |
| --- | --- |
| 27.8 | 543 |
| 29.5 | 647 |
| 29.7 | 724 |
| 31.9 | 229 |
| 33.7 | 1000 |
| 34.6 | 412 |
| 35.2 | 496 |
| 52.2 | 134 |
| 55.3 | 176 |
| 56.2 | 175 |
| 59.9 | 146 |
| 62.6 | 202 |

Atomic structure:
a b c (Å): 8.4499 8.4499 8.4499
angles (deg): 111.55 111.55 105.38
Fractional positions:
Tb: 0.0746 0.3270 0.6058
Tb: 0.1658 0.4272 0.0871
Tb: 0.3402 0.0788 0.9129
Tb: 0.5312 0.9254 0.2524
Tb: 0.5728 0.6598 0.7386
Tb: 0.6730 0.2788 0.7476
Tb: 0.7212 0.4688 0.3942
Tb: 0.9212 0.8342 0.2614
Nd: 0.2500 0.7500 0.5000
Dy: 0.0387 0.7182 0.9028
Dy: 0.2818 0.1847 0.3206
Dy: 0.5000 0.5000 0.0000
Dy: 0.8153 0.1359 0.0972
Dy: 0.8641 0.9613 0.6794

=====

This entry pairs a crystal structure of Tb4NdDy10 with its calculated PXRD pattern. Radiation: copper Kα. Structure: a DFT-relaxed cell (GGA-PBE, Alexandria).

Top 12 peaks for 2θ = 10–90°, by angle:
| 2θ (°) | I (rel.) |
| --- | --- |
| 12.2 | 162 |
| 26.4 | 281 |
| 28.6 | 192 |
| 28.8 | 787 |
| 30.7 | 152 |
| 32.2 | 1000 |
| 33.4 | 453 |
| 41.2 | 271 |
| 41.7 | 237 |
| 44.7 | 147 |
| 59.4 | 201 |
| 70.1 | 175 |

Atomic structure:
a b c (Å): 8.7812 8.7812 8.7812
angles (deg): 112.21 112.21 104.13
Fractional positions:
Tb: 0.0543 0.7120 0.7663
Tb: 0.2880 0.0543 0.3423
Tb: 0.7120 0.9457 0.6577
Tb: 0.9457 0.2880 0.2337
Nd: 0.5000 0.5000 0.0000
Dy: 0.1111 0.2087 0.6580
Dy: 0.2087 0.5507 0.0976
Dy: 0.2500 0.7500 0.5000
Dy: 0.4493 0.5469 0.6580
Dy: 0.4531 0.1111 0.9024
Dy: 0.5469 0.8889 0.0976
Dy: 0.5507 0.4531 0.3420
Dy: 0.7500 0.2500 0.5000
Dy: 0.7913 0.4493 0.9024
Dy: 0.8889 0.7913 0.3420

=====

This entry pairs a crystal structure of Tb5Nd8Dy with its calculated PXRD pattern. Radiation: copper Kα. Structure: a DFT-relaxed cell (GGA-PBE, Alexandria).

Top 12 peaks for 2θ = 10–90°, by angle:
| 2θ (°) | I (rel.) |
| --- | --- |
| 27.5 | 630 |
| 28.9 | 706 |
| 29.0 | 796 |
| 31.3 | 254 |
| 33.2 | 1000 |
| 33.9 | 466 |
| 34.3 | 528 |
| 54.2 | 209 |
| 55.3 | 161 |
| 60.1 | 172 |
| 61.9 | 224 |
| 85.2 | 159 |

Atomic structure:
a b c (Å): 8.5964 8.5964 8.5964
angles (deg): 111.04 111.04 106.37
Fractional positions:
Tb: 0.0000 0.0000 0.0000
Tb: 0.2206 0.3186 0.6870
Tb: 0.4664 0.7794 0.0980
Tb: 0.6316 0.5336 0.3130
Tb: 0.6814 0.3684 0.9020
Nd: 0.1595 0.4261 0.0928
Nd: 0.3333 0.0667 0.9072
Nd: 0.4228 0.1648 0.3959
Nd: 0.5739 0.6667 0.7334
Nd: 0.7689 0.0269 0.6041
Nd: 0.8352 0.2311 0.2580
Nd: 0.9333 0.8405 0.2666
Nd: 0.9731 0.5772 0.7420
Dy: 0.2500 0.7500 0.5000

=====

This entry pairs a crystal structure of Tb2Nd6Dy5 with its calculated PXRD pattern. Radiation: copper Kα. Structure: a DFT-relaxed cell (GGA-PBE, Alexandria).

Top 12 peaks for 2θ = 10–90°, by angle:
| 2θ (°) | I (rel.) |
| --- | --- |
| 27.1 | 215 |
| 30.2 | 185 |
| 30.7 | 493 |
| 31.1 | 481 |
| 31.3 | 553 |
| 31.5 | 165 |
| 31.7 | 1000 |
| 33.8 | 299 |
| 34.7 | 196 |
| 36.2 | 259 |
| 50.2 | 191 |
| 60.4 | 199 |

Atomic structure:
a b c (Å): 11.7537 20.6213 3.6324
angles (deg): 90.00 90.00 90.00
Fractional positions:
Tb: 0.1669 0.2116 0.0000
Tb: 0.3331 0.7116 0.0000
Tb: 0.6669 0.2884 0.0000
Tb: 0.8331 0.7884 0.0000
Nd: 0.0601 0.9205 0.0000
Nd: 0.0819 0.6333 0.0000
Nd: 0.1745 0.3665 0.5000
Nd: 0.3255 0.8665 0.5000
Nd: 0.4181 0.1333 0.0000
Nd: 0.4399 0.4205 0.0000
Nd: 0.5601 0.5795 0.0000
Nd: 0.5819 0.8667 0.0000
Nd: 0.6745 0.1335 0.5000
Nd: 0.8255 0.6335 0.5000
Nd: 0.9181 0.3667 0.0000
Nd: 0.9399 0.0795 0.0000
Dy: 0.0000 0.5000 0.5000
Dy: 0.0920 0.7744 0.5000
Dy: 0.1986 0.0558 0.5000
Dy: 0.3014 0.5558 0.5000
Dy: 0.4080 0.2744 0.5000
Dy: 0.5000 0.0000 0.5000
Dy: 0.5920 0.7256 0.5000
Dy: 0.6986 0.4442 0.5000
Dy: 0.8014 0.9442 0.5000
Dy: 0.9080 0.2256 0.5000

=====

This entry pairs a crystal structure of Tb4Nd11Dy9 with its calculated PXRD pattern. Radiation: copper Kα. Structure: a DFT-relaxed cell (GGA-PBE, Alexandria).

Top 12 peaks for 2θ = 10–90°, by angle:
| 2θ (°) | I (rel.) |
| --- | --- |
| 28.2 | 163 |
| 29.5 | 1000 |
| 29.9 | 341 |
| 30.8 | 349 |
| 31.5 | 176 |
| 31.7 | 294 |
| 32.0 | 946 |
| 32.2 | 950 |
| 32.3 | 192 |
| 33.8 | 165 |
| 49.6 | 255 |
| 58.8 | 326 |

Atomic structure:
a b c (Å): 15.4464 15.4464 3.6759
angles (deg): 90.00 90.00 113.09
Fractional positions:
Tb: 0.0553 0.2587 0.0000
Tb: 0.2587 0.0553 0.0000
Tb: 0.7413 0.9447 0.0000
Tb: 0.9447 0.7413 0.0000
Nd: 0.0948 0.4570 0.5000
Nd: 0.1318 0.8682 0.5000
Nd: 0.2079 0.2079 0.5000
Nd: 0.3398 0.6602 0.5000
Nd: 0.4570 0.0948 0.5000
Nd: 0.5000 0.5000 0.5000
Nd: 0.5430 0.9052 0.5000
Nd: 0.6602 0.3398 0.5000
Nd: 0.7921 0.7921 0.5000
Nd: 0.8682 0.1318 0.5000
Nd: 0.9052 0.5430 0.5000
Dy: 0.0000 0.0000 0.0000
Dy: 0.1311 0.6652 0.0000
Dy: 0.2869 0.4325 0.0000
Dy: 0.3348 0.8689 0.0000
Dy: 0.4325 0.2869 0.0000
Dy: 0.5675 0.7131 0.0000
Dy: 0.6652 0.1311 0.0000
Dy: 0.7131 0.5675 0.0000
Dy: 0.8689 0.3348 0.0000

=====

This entry pairs a crystal structure of Tb6NdDy4 with its calculated PXRD pattern. Radiation: copper Kα. Structure: a DFT-relaxed cell (GGA-PBE, Alexandria).

Top 12 peaks for 2θ = 10–90°, by angle:
| 2θ (°) | I (rel.) |
| --- | --- |
| 30.4 | 727 |
| 30.7 | 621 |
| 31.1 | 792 |
| 32.0 | 1000 |
| 32.2 | 419 |
| 33.3 | 615 |
| 44.2 | 458 |
| 47.3 | 143 |
| 54.8 | 223 |
| 55.8 | 226 |
| 56.4 | 181 |
| 57.6 | 179 |

Atomic structure:
a b c (Å): 5.6019 5.6019 25.6702
angles (deg): 90.00 90.00 118.12
Fractional positions:
Tb: 0.0000 0.0000 0.0000
Tb: 0.0000 0.0000 0.5000
Tb: 0.0365 0.9635 0.7500
Tb: 0.3004 0.6996 0.1020
Tb: 0.3004 0.6996 0.3980
Tb: 0.3702 0.6298 0.6808
Tb: 0.3702 0.6298 0.8192
Tb: 0.6298 0.3702 0.1808
Tb: 0.6298 0.3702 0.3192
Tb: 0.6996 0.3004 0.6020
Tb: 0.6996 0.3004 0.8980
Tb: 0.9635 0.0365 0.2500
Nd: 0.2991 0.7009 0.2500
Nd: 0.7009 0.2991 0.7500
Dy: 0.0415 0.9585 0.6214
Dy: 0.0415 0.9585 0.8786
Dy: 0.3482 0.6518 0.5426
Dy: 0.3482 0.6518 0.9574
Dy: 0.6518 0.3482 0.0426
Dy: 0.6518 0.3482 0.4574
Dy: 0.9585 0.0415 0.1214
Dy: 0.9585 0.0415 0.3786

=====

What did the first record say?
This entry pairs a crystal structure of Tb3Nd4Dy5 with its calculated PXRD pattern. Radiation: copper Kα. Structure: a DFT-relaxed cell (GGA-PBE, Alexandria).

Top 12 peaks for 2θ = 10–90°, by angle:
| 2θ (°) | I (rel.) |
| --- | --- |
| 24.3 | 214 |
| 28.6 | 271 |
| 29.0 | 239 |
| 29.3 | 311 |
| 30.0 | 1000 |
| 31.0 | 414 |
| 31.7 | 521 |
| 32.4 | 748 |
| 32.6 | 291 |
| 33.3 | 647 |
| 42.0 | 206 |
| 43.7 | 324 |

Atomic structure:
a b c (Å): 8.6078 8.6078 9.3866
angles (deg): 114.73 114.73 40.44
Fractional positions:
Tb: 0.0000 0.0000 0.0000
Tb: 0.2894 0.2894 0.7663
Tb: 0.7106 0.7106 0.2337
Nd: 0.2852 0.2852 0.1186
Nd: 0.4163 0.4163 0.5553
Nd: 0.5837 0.5837 0.4447
Nd: 0.7148 0.7148 0.8814
Dy: 0.0716 0.0716 0.7003
Dy: 0.1716 0.1716 0.3862
Dy: 0.5000 0.5000 0.0000
Dy: 0.8284 0.8284 0.6138
Dy: 0.9284 0.9284 0.2997